Starting from the GGA-PBE geometry in Alexandria, the powder XRD pattern of AcPm5Dy3 was calculated for CuKα.
No peak broadening, texture or thermal motion is included.

Largest 10 diffraction maxima, sorted by position, 5° ≤ 2θ ≤ 70°:
| d_spacing | 2theta | intensity |
| --- | --- | --- |
| 3.577 | 24.89 | 7 |
| 2.909 | 30.74 | 94 |
| 2.887 | 30.98 | 100 |
| 2.049 | 44.20 | 34 |
| 1.788 | 51.07 | 9 |
| 1.672 | 54.92 | 22 |
| 1.669 | 55.02 | 18 |
| 1.665 | 55.15 | 13 |
| 1.520 | 60.94 | 29 |
| 1.445 | 64.51 | 7 |

Atomic structure:
Lattice parameters (Å, degrees): 6.796 6.796 13.564 94.76 94.76 94.94
Positions (direct):
Ac 0.154 0.846 0.750
Ac 0.846 0.154 0.250
Pm 0.157 0.519 0.418
Pm 0.177 0.478 0.921
Pm 0.185 0.815 0.250
Pm 0.478 0.177 0.421
Pm 0.481 0.843 0.082
Pm 0.519 0.157 0.918
Pm 0.522 0.823 0.579
Pm 0.815 0.185 0.750
Pm 0.823 0.522 0.079
Pm 0.843 0.481 0.582
Dy 0.000 0.000 0.000
Dy 0.000 0.000 0.500
Dy 0.334 0.338 0.666
Dy 0.338 0.334 0.166
Dy 0.662 0.666 0.834
Dy 0.666 0.662 0.334

=====

Starting from the GGA-PBE geometry in Alexandria, the powder XRD pattern of AcPm4Dy7 was calculated for CuKα.
No peak broadening, texture or thermal motion is included.

Largest 10 diffraction maxima, sorted by position, 5° ≤ 2θ ≤ 70°:
| d_spacing | 2theta | intensity |
| --- | --- | --- |
| 4.136 | 21.49 | 19 |
| 3.185 | 28.02 | 23 |
| 3.045 | 29.33 | 94 |
| 2.972 | 30.06 | 76 |
| 2.753 | 32.53 | 96 |
| 2.709 | 33.07 | 100 |
| 2.201 | 41.01 | 17 |
| 2.127 | 42.50 | 60 |
| 1.696 | 54.07 | 23 |
| 1.355 | 69.34 | 19 |

Atomic structure:
Lattice parameters (Å, degrees): 6.879 6.879 12.736 115.64 115.64 52.55
Positions (direct):
Ac 0.000 0.000 0.000
Pm 0.248 0.248 0.679
Pm 0.370 0.370 0.224
Pm 0.630 0.630 0.776
Pm 0.752 0.752 0.321
Dy 0.056 0.056 0.337
Dy 0.216 0.216 0.921
Dy 0.367 0.367 0.496
Dy 0.500 0.500 0.000
Dy 0.633 0.633 0.504
Dy 0.784 0.784 0.079
Dy 0.944 0.944 0.663

=====

Starting from the GGA-PBE geometry in Alexandria, the powder XRD pattern of AcPmPr4Dy2 was calculated for CuKα.
No peak broadening, texture or thermal motion is included.

Largest 10 diffraction maxima, sorted by position, 5° ≤ 2θ ≤ 70°:
| d_spacing | 2theta | intensity |
| --- | --- | --- |
| 3.021 | 29.57 | 100 |
| 2.626 | 34.14 | 17 |
| 2.617 | 34.26 | 17 |
| 2.607 | 34.40 | 17 |
| 1.853 | 49.17 | 18 |
| 1.848 | 49.32 | 18 |
| 1.582 | 58.32 | 15 |
| 1.578 | 58.49 | 15 |
| 1.574 | 58.67 | 15 |
| 1.511 | 61.37 | 13 |

Atomic structure:
Lattice parameters (Å, degrees): 6.400 6.400 10.505 114.29 114.29 48.27
Positions (direct):
Ac 0.000 0.000 0.000
Pm 0.000 0.000 0.500
Pr 0.248 0.248 0.870
Pr 0.251 0.251 0.378
Pr 0.749 0.749 0.622
Pr 0.752 0.752 0.130
Dy 0.499 0.499 0.255
Dy 0.501 0.501 0.745

=====

Starting from the GGA-PBE geometry in Alexandria, the powder XRD pattern of Ac2PmPr4Dy2 was calculated for CuKα.
No peak broadening, texture or thermal motion is included.

Largest 10 diffraction maxima, sorted by position, 5° ≤ 2θ ≤ 70°:
| d_spacing | 2theta | intensity |
| --- | --- | --- |
| 3.137 | 28.46 | 33 |
| 3.071 | 29.08 | 70 |
| 2.997 | 29.81 | 79 |
| 2.978 | 30.00 | 94 |
| 2.924 | 30.57 | 91 |
| 2.916 | 30.65 | 100 |
| 2.897 | 30.86 | 97 |
| 2.771 | 32.30 | 33 |
| 2.015 | 44.99 | 33 |
| 1.568 | 58.88 | 32 |

Atomic structure:
Lattice parameters (Å, degrees): 9.057 9.057 10.199 99.00 99.00 23.71
Positions (direct):
Ac 0.163 0.163 0.085
Ac 0.837 0.837 0.915
Pm 0.000 0.000 0.500
Pr 0.170 0.170 0.723
Pr 0.489 0.489 0.179
Pr 0.511 0.511 0.821
Pr 0.830 0.830 0.277
Dy 0.334 0.334 0.578
Dy 0.666 0.666 0.422

=====

Starting from the GGA-PBE geometry in Alexandria, the powder XRD pattern of AcPm2PrDy5 was calculated for CuKα.
No peak broadening, texture or thermal motion is included.

Largest 10 diffraction maxima, sorted by position, 5° ≤ 2θ ≤ 70°:
| d_spacing | 2theta | intensity |
| --- | --- | --- |
| 3.161 | 28.23 | 43 |
| 3.125 | 28.56 | 48 |
| 2.945 | 30.36 | 100 |
| 2.795 | 32.02 | 19 |
| 2.468 | 36.41 | 15 |
| 2.423 | 37.11 | 15 |
| 2.126 | 42.53 | 21 |
| 1.975 | 45.96 | 16 |
| 1.767 | 51.72 | 20 |
| 1.669 | 55.02 | 15 |

Atomic structure:
Lattice parameters (Å, degrees): 10.071 10.071 10.071 127.94 127.94 76.71
Positions (direct):
Ac 0.250 0.250 0.000
Ac 0.750 0.750 0.000
Pm 0.117 0.617 0.735
Pm 0.383 0.117 0.500
Pm 0.617 0.883 0.500
Pm 0.883 0.383 0.265
Pr 0.250 0.750 0.500
Pr 0.750 0.250 0.500
Dy 0.000 0.000 0.000
Dy 0.074 0.164 0.500
Dy 0.164 0.664 0.090
Dy 0.336 0.426 0.500
Dy 0.426 0.926 0.090
Dy 0.500 0.500 0.000
Dy 0.574 0.074 0.910
Dy 0.664 0.574 0.500
Dy 0.836 0.336 0.910
Dy 0.926 0.836 0.500

=====

Starting from the GGA-PBE geometry in Alexandria, the powder XRD pattern of AcPmPr2Dy4 was calculated for CuKα.
No peak broadening, texture or thermal motion is included.

Largest 10 diffraction maxima, sorted by position, 5° ≤ 2θ ≤ 70°:
| d_spacing | 2theta | intensity |
| --- | --- | --- |
| 3.376 | 26.40 | 45 |
| 3.201 | 27.87 | 2 |
| 3.012 | 29.66 | 100 |
| 2.247 | 40.12 | 88 |
| 1.739 | 52.64 | 20 |
| 1.688 | 54.34 | 6 |
| 1.546 | 59.83 | 27 |
| 1.506 | 61.59 | 13 |
| 1.473 | 63.13 | 23 |
| 1.375 | 68.19 | 18 |

Atomic structure:
Lattice parameters (Å, degrees): 9.694 9.694 6.953 111.01 111.01 88.31
Positions (direct):
Ac 0.000 0.500 0.000
Ac 0.500 0.000 0.500
Pm 0.000 0.000 0.000
Pm 0.000 0.000 0.500
Pr 0.000 0.500 0.500
Pr 0.500 0.000 0.000
Pr 0.500 0.500 0.000
Pr 0.500 0.500 0.500
Dy 0.240 0.255 0.499
Dy 0.248 0.752 0.513
Dy 0.248 0.752 0.987
Dy 0.255 0.240 0.999
Dy 0.745 0.760 0.001
Dy 0.752 0.248 0.013
Dy 0.752 0.248 0.487
Dy 0.760 0.745 0.501

=====

Starting from the GGA-PBE geometry in Alexandria, the powder XRD pattern of AcPm2Pr2Dy was calculated for CuKα.
No peak broadening, texture or thermal motion is included.

Largest 10 diffraction maxima, sorted by position, 5° ≤ 2θ ≤ 70°:
| d_spacing | 2theta | intensity |
| --- | --- | --- |
| 2.961 | 30.18 | 98 |
| 2.921 | 30.61 | 100 |
| 2.079 | 43.52 | 37 |
| 1.826 | 49.95 | 9 |
| 1.695 | 54.12 | 26 |
| 1.692 | 54.19 | 13 |
| 1.688 | 54.36 | 13 |
| 1.684 | 54.49 | 7 |
| 1.548 | 59.73 | 30 |
| 1.459 | 63.77 | 8 |

Atomic structure:
Lattice parameters (Å, degrees): 5.850 10.104 7.303 90.00 90.00 90.00
Positions (direct):
Ac 0.000 0.000 0.000
Ac 0.000 0.000 0.500
Pm 0.000 0.336 0.251
Pm 0.000 0.664 0.751
Pm 0.500 0.171 0.750
Pm 0.500 0.829 0.250
Pr 0.000 0.334 0.751
Pr 0.000 0.666 0.251
Pr 0.500 0.500 0.001
Pr 0.500 0.500 0.501
Dy 0.500 0.168 0.250
Dy 0.500 0.832 0.750

=====

Starting from the GGA-PBE geometry in Alexandria, the powder XRD pattern of Ac3Pm3DyS8 was calculated for CuKα.
No peak broadening, texture or thermal motion is included.

Largest 10 diffraction maxima, sorted by position, 5° ≤ 2θ ≤ 70°:
| d_spacing | 2theta | intensity |
| --- | --- | --- |
| 6.718 | 13.18 | 17 |
| 3.460 | 25.75 | 22 |
| 3.359 | 26.54 | 59 |
| 2.930 | 30.51 | 100 |
| 2.095 | 43.19 | 38 |
| 2.050 | 44.19 | 36 |
| 1.792 | 50.96 | 11 |
| 1.763 | 51.85 | 21 |
| 1.679 | 54.65 | 19 |
| 1.465 | 63.50 | 12 |

Atomic structure:
Lattice parameters (Å, degrees): 8.383 8.383 8.383 58.55 58.55 58.55
Positions (direct):
Ac 0.000 0.500 0.500
Ac 0.500 0.000 0.500
Ac 0.500 0.500 0.000
Pm 0.000 0.000 0.500
Pm 0.000 0.500 0.000
Pm 0.500 0.000 0.000
Dy 0.500 0.500 0.500
S 0.244 0.244 0.244
S 0.250 0.738 0.738
S 0.262 0.262 0.750
S 0.262 0.750 0.262
S 0.738 0.250 0.738
S 0.738 0.738 0.250
S 0.750 0.262 0.262
S 0.756 0.756 0.756

=====

Starting from the GGA-PBE geometry in Alexandria, the powder XRD pattern of Ac2Pm5SmDy was calculated for CuKα.
No peak broadening, texture or thermal motion is included.

Largest 10 diffraction maxima, sorted by position, 5° ≤ 2θ ≤ 70°:
| d_spacing | 2theta | intensity |
| --- | --- | --- |
| 3.460 | 25.74 | 13 |
| 3.276 | 27.22 | 15 |
| 3.074 | 29.04 | 36 |
| 2.921 | 30.61 | 42 |
| 2.872 | 31.14 | 100 |
| 2.754 | 32.51 | 12 |
| 1.854 | 49.14 | 11 |
| 1.677 | 54.74 | 21 |
| 1.603 | 57.47 | 13 |
| 1.565 | 59.01 | 13 |

Atomic structure:
Lattice parameters (Å, degrees): 10.700 10.700 11.018 90.00 90.00 148.32
Positions (direct):
Ac 0.111 0.889 0.500
Ac 0.119 0.881 0.089
Ac 0.881 0.119 0.589
Ac 0.889 0.111 0.000
Pm 0.020 0.980 0.792
Pm 0.284 0.716 0.072
Pm 0.296 0.704 0.466
Pm 0.395 0.605 0.791
Pm 0.480 0.520 0.509
Pm 0.520 0.480 0.009
Pm 0.605 0.395 0.291
Pm 0.704 0.296 0.966
Pm 0.716 0.284 0.572
Pm 0.980 0.020 0.292
Sm 0.207 0.793 0.773
Sm 0.793 0.207 0.273
Dy 0.410 0.590 0.231
Dy 0.590 0.410 0.731

=====

Starting from the GGA-PBE geometry in Alexandria, the powder XRD pattern of AcPm2SmDy was calculated for CuKα.
No peak broadening, texture or thermal motion is included.

Largest 10 diffraction maxima, sorted by position, 5° ≤ 2θ ≤ 70°:
| d_spacing | 2theta | intensity |
| --- | --- | --- |
| 4.198 | 21.16 | 23 |
| 3.462 | 25.74 | 64 |
| 3.283 | 27.17 | 38 |
| 3.151 | 28.32 | 67 |
| 3.059 | 29.20 | 37 |
| 2.824 | 31.68 | 22 |
| 2.766 | 32.37 | 100 |
| 2.597 | 34.54 | 24 |
| 2.343 | 38.42 | 26 |
| 2.052 | 44.15 | 38 |

Atomic structure:
Lattice parameters (Å, degrees): 7.419 7.419 7.353 90.00 90.00 111.08
Positions (direct):
Ac 0.243 0.757 0.750
Ac 0.757 0.243 0.250
Pm 0.305 0.305 0.000
Pm 0.305 0.305 0.500
Pm 0.695 0.695 0.000
Pm 0.695 0.695 0.500
Sm 0.054 0.946 0.250
Sm 0.946 0.054 0.750
Dy 0.305 0.695 0.250
Dy 0.695 0.305 0.750

=====

Starting from the GGA-PBE geometry in Alexandria, the powder XRD pattern of Ac2Pm2SmDy was calculated for CuKα.
No peak broadening, texture or thermal motion is included.

Largest 10 diffraction maxima, sorted by position, 5° ≤ 2θ ≤ 70°:
| d_spacing | 2theta | intensity |
| --- | --- | --- |
| 2.985 | 29.94 | 100 |
| 2.959 | 30.21 | 36 |
| 2.949 | 30.31 | 70 |
| 2.100 | 43.06 | 26 |
| 2.096 | 43.17 | 12 |
| 1.838 | 49.60 | 10 |
| 1.713 | 53.48 | 13 |
| 1.709 | 53.62 | 26 |
| 1.706 | 53.72 | 14 |
| 1.560 | 59.22 | 32 |

Atomic structure:
Lattice parameters (Å, degrees): 7.352 5.918 10.204 90.00 90.00 90.00
Positions (direct):
Ac 0.000 0.000 0.000
Ac 0.250 0.500 0.175
Ac 0.500 0.000 0.000
Ac 0.750 0.500 0.825
Pm 0.250 0.000 0.344
Pm 0.250 0.500 0.827
Pm 0.750 0.000 0.656
Pm 0.750 0.500 0.173
Sm 0.000 0.500 0.500
Sm 0.500 0.500 0.500
Dy 0.250 0.000 0.663
Dy 0.750 0.000 0.337

=====

Starting from the GGA-PBE geometry in Alexandria, the powder XRD pattern of Ac2PmDyTe5 was calculated for CuKα.
No peak broadening, texture or thermal motion is included.

Largest 10 diffraction maxima, sorted by position, 5° ≤ 2θ ≤ 70°:
| d_spacing | 2theta | intensity |
| --- | --- | --- |
| 11.790 | 7.50 | 55 |
| 3.895 | 22.83 | 99 |
| 3.250 | 27.45 | 29 |
| 3.199 | 27.89 | 41 |
| 2.947 | 30.32 | 36 |
| 2.766 | 32.36 | 54 |
| 2.754 | 32.51 | 100 |
| 2.087 | 43.35 | 25 |
| 2.012 | 45.05 | 48 |
| 1.947 | 46.64 | 37 |

Atomic structure:
Lattice parameters (Å, degrees): 5.508 5.508 11.790 90.00 90.00 90.00
Positions (direct):
Ac 0.000 0.000 0.199
Ac 0.000 0.000 0.801
Pm 0.500 0.500 0.500
Dy 0.500 0.500 0.000
Te 0.000 0.000 0.500
Te 0.000 0.500 0.000
Te 0.500 0.000 0.000
Te 0.500 0.500 0.252
Te 0.500 0.500 0.748